1.
The following is a simulated powder X-ray diffraction pattern of LaV2Co. It was derived from a cell relaxed with PBE, using Cu Kα.
Lines closer than 0.1° are merged.

Largest 8 diffraction maxima, by angle, 5° ≤ 2θ ≤ 70°:
3.619 Å, 24.6 deg, rel. 15, hkl 1 1 1; 3.134 Å, 28.5 deg, rel. 14, hkl 2 0 0; 2.216 Å, 40.7 deg, rel. 100, hkl 2 2 0; 1.890 Å, 48.2 deg, rel. 8, hkl 3 1 1; 1.809 Å, 50.4 deg, rel. 4, hkl 2 2 2; 1.567 Å, 58.9 deg, rel. 16, hkl 4 0 0; 1.438 Å, 64.8 deg, rel. 3, hkl 3 3 1; 1.402 Å, 66.7 deg, rel. 5, hkl 4 2 0

Atomic structure:
a = 6.268 Å, b = 6.268 Å, c = 6.268 Å
α = 90.00°, β = 90.00°, γ = 90.00°
Space group Fm-3m (No. 225)
Symmetry-distinct sites (fractional):
La 0.000 0.000 0.000
V 0.250 0.250 0.250
Co 0.000 0.000 0.500


2.
The following is a simulated powder X-ray diffraction pattern of Dy3AlSi. It was derived from a cell relaxed with PBE, using Cu Kα.
Lines closer than 0.1° are merged.

Largest 10 diffraction maxima, by angle, 5° ≤ 2θ ≤ 70°:
3.602 Å, 24.7 deg, rel. 27, hkl 0 1 -2; 3.576 Å, 24.9 deg, rel. 40, hkl 1 1 -1; 3.398 Å, 26.2 deg, rel. 30, hkl 0 2 1; 2.968 Å, 30.1 deg, rel. 100, hkl 1 2 1; 2.932 Å, 30.5 deg, rel. 65, hkl 1 -1 1; 2.899 Å, 30.8 deg, rel. 72, hkl 1 0 -2; 2.727 Å, 32.8 deg, rel. 58, hkl 0 2 -2; 2.389 Å, 37.7 deg, rel. 30, hkl 1 -2 0; 2.262 Å, 39.9 deg, rel. 29, hkl 0 2 3; 2.058 Å, 44.0 deg, rel. 36, hkl 2 1 0

Atomic structure:
a = 4.117 Å, b = 7.613 Å, c = 8.433 Å
α = 88.37°, β = 89.90°, γ = 74.45°
Space group P-1 (No. 2)
Symmetry-distinct sites (fractional):
Dy 0.049 0.401 0.175
Dy 0.236 0.028 0.823
Dy 0.406 0.684 0.404
Al 0.205 0.092 0.435
Si 0.394 0.711 0.060